Entry 1:
Starting from DFT lattice parameters and positions (PBE), the PXRD pattern of Rb2LiNdCl6 was computed for copper Kα.

Most intense lines, 2θ = 5–70°, sorted by position:
14.40°, d = 6.150 Å, rel. 57; 23.63°, d = 3.766 Å, rel. 100; 27.78°, d = 3.212 Å, rel. 43; 29.04°, d = 3.075 Å, rel. 39; 33.66°, d = 2.663 Å, rel. 94; 36.78°, d = 2.444 Å, rel. 24; 41.53°, d = 2.174 Å, rel. 47; 48.34°, d = 1.883 Å, rel. 63; 54.48°, d = 1.684 Å, rel. 22; 65.59°, d = 1.423 Å, rel. 25

Atomic structure:
Lattice parameters (Å, degrees): 10.6516 10.6516 10.6516 90.00 90.00 90.00
Space group Fm-3m (No. 225)
Symmetry-distinct sites (fractional):
Rb 0.2500 0.2500 0.2500 [8 per cell]
Li 0.0000 0.0000 0.0000 [4 per cell]
Nd 0.0000 0.0000 0.5000 [4 per cell]
Cl 0.0000 0.0000 0.2440 [24 per cell]

Entry 2:
Starting from DFT lattice parameters and positions (PBE), the PXRD pattern of Li6NiCl8 was computed for copper Kα.

Most intense lines, 2θ = 5–70°, sorted by position:
14.94°, d = 5.930 Å, rel. 61; 17.27°, d = 5.135 Å, rel. 13; 24.51°, d = 3.631 Å, rel. 12; 28.83°, d = 3.097 Å, rel. 16; 30.14°, d = 2.965 Å, rel. 52; 34.94°, d = 2.568 Å, rel. 100; 45.91°, d = 1.977 Å, rel. 16; 50.25°, d = 1.816 Å, rel. 61; 59.72°, d = 1.548 Å, rel. 13; 62.67°, d = 1.482 Å, rel. 19

Atomic structure:
Lattice parameters (Å, degrees): 10.2707 10.2707 10.2707 90.00 90.00 90.00
Space group Fm-3m (No. 225)
Symmetry-distinct sites (fractional):
Li 0.0000 0.2500 0.2500 [24 per cell]
Ni 0.0000 0.0000 0.0000 [4 per cell]
Cl 0.0000 0.0000 0.2344 [24 per cell]
Cl 0.2500 0.2500 0.2500 [8 per cell]

Entry 3:
Starting from DFT lattice parameters and positions (PBE), the PXRD pattern of LiPr2Ta2Cl2O7 was computed for copper Kα.

Most intense lines, 2θ = 5–70°, sorted by position:
13.83°, d = 6.404 Å, rel. 61; 22.79°, d = 3.902 Å, rel. 32; 23.04°, d = 3.860 Å, rel. 40; 28.10°, d = 3.176 Å, rel. 44; 28.77°, d = 3.103 Å, rel. 67; 28.97°, d = 3.082 Å, rel. 100; 33.53°, d = 2.673 Å, rel. 30; 34.14°, d = 2.626 Å, rel. 63; 44.66°, d = 2.029 Å, rel. 48; 47.02°, d = 1.933 Å, rel. 30

Atomic structure:
Lattice parameters (Å, degrees): 15.6225 4.0578 7.0370 90.00 114.49 90.00
Space group Cm (No. 8)
Symmetry-distinct sites (fractional):
Li 0.0000 0.0000 0.0000 [2 per cell]
Pr 0.1808 0.0000 0.6507 [2 per cell]
Pr 0.2994 0.5000 0.3419 [2 per cell]
Ta 0.0247 0.5000 0.3038 [2 per cell]
Ta 0.4546 0.0000 0.6887 [2 per cell]
Cl 0.1696 0.0000 0.0576 [2 per cell]
Cl 0.3102 0.5000 0.9324 [2 per cell]
O 0.0311 0.0000 0.3100 [2 per cell]
O 0.0709 0.5000 0.6448 [2 per cell]
O 0.1660 0.5000 0.4275 [2 per cell]
O 0.3135 0.0000 0.5636 [2 per cell]
O 0.4081 0.0000 0.3465 [2 per cell]
O 0.4488 0.5000 0.6824 [2 per cell]
O 0.4916 0.0000 0.9971 [2 per cell]

Entry 4:
Starting from DFT lattice parameters and positions (PBE), the PXRD pattern of LiPr2Ta2Cl2O7 was computed for copper Kα.

Most intense lines, 2θ = 5–70°, sorted by position:
10.84°, d = 8.159 Å, rel. 39; 14.77°, d = 5.996 Å, rel. 68; 19.67°, d = 4.514 Å, rel. 36; 22.66°, d = 3.924 Å, rel. 33; 27.30°, d = 3.267 Å, rel. 44; 27.49°, d = 3.245 Å, rel. 100; 28.57°, d = 3.124 Å, rel. 36; 31.86°, d = 2.809 Å, rel. 29; 35.55°, d = 2.525 Å, rel. 40; 44.84°, d = 2.021 Å, rel. 33

Atomic structure:
Lattice parameters (Å, degrees): 17.0156 4.0425 6.8128 90.00 106.47 90.00
Space group Cm (No. 8)
Symmetry-distinct sites (fractional):
Li 0.0000 0.0000 0.0000 [2 per cell]
Pr 0.1498 0.0000 0.4247 [2 per cell]
Pr 0.2725 0.5000 0.9568 [2 per cell]
Ta 0.3888 0.0000 0.7901 [2 per cell]
Ta 0.4660 0.0000 0.3085 [2 per cell]
Cl 0.1379 0.0000 0.9737 [2 per cell]
Cl 0.2629 0.5000 0.3569 [2 per cell]
O 0.0879 0.5000 0.4460 [2 per cell]
O 0.2624 0.0000 0.7207 [2 per cell]
O 0.3553 0.0000 0.0985 [2 per cell]
O 0.3872 0.5000 0.8048 [2 per cell]
O 0.4265 0.0000 0.5444 [2 per cell]
O 0.4827 0.5000 0.2946 [2 per cell]
O 0.4899 0.0000 0.0094 [2 per cell]

Entry 5:
Starting from DFT lattice parameters and positions (PBE), the PXRD pattern of LiPr2Ta2Cl2O7 was computed for copper Kα.

Most intense lines, 2θ = 5–70°, sorted by position:
13.81°, d = 6.412 Å, rel. 69; 22.83°, d = 3.895 Å, rel. 82; 27.89°, d = 3.199 Å, rel. 44; 28.49°, d = 3.133 Å, rel. 100; 29.44°, d = 3.034 Å, rel. 59; 31.80°, d = 2.814 Å, rel. 27; 34.54°, d = 2.597 Å, rel. 82; 42.29°, d = 2.137 Å, rel. 23; 44.96°, d = 2.016 Å, rel. 31; 45.61°, d = 1.989 Å, rel. 36

Atomic structure:
Lattice parameters (Å, degrees): 16.0147 4.0325 6.8765 90.00 111.19 90.00
Space group Cm (No. 8)
Symmetry-distinct sites (fractional):
Li 0.0000 0.0000 0.0000 [2 per cell]
Pr 0.0627 0.5000 0.6679 [2 per cell]
Pr 0.1960 0.0000 0.3889 [2 per cell]
Ta 0.3328 0.5000 0.7228 [2 per cell]
Ta 0.4126 0.5000 0.3337 [2 per cell]
Cl 0.0636 0.5000 0.1076 [2 per cell]
Cl 0.1854 0.0000 0.9539 [2 per cell]
O 0.0493 0.0000 0.4511 [2 per cell]
O 0.1973 0.5000 0.5964 [2 per cell]
O 0.2994 0.5000 0.3841 [2 per cell]
O 0.3264 0.0000 0.7093 [2 per cell]
O 0.3845 0.5000 0.0342 [2 per cell]
O 0.4216 0.0000 0.3605 [2 per cell]
O 0.4539 0.5000 0.6978 [2 per cell]

Entry 6:
Starting from DFT lattice parameters and positions (PBE), the PXRD pattern of LiPr2Ta2Cl2O7 was computed for copper Kα.

Most intense lines, 2θ = 5–70°, sorted by position:
13.81°, d = 6.413 Å, rel. 61; 22.80°, d = 3.900 Å, rel. 32; 23.06°, d = 3.857 Å, rel. 41; 28.09°, d = 3.177 Å, rel. 44; 28.80°, d = 3.099 Å, rel. 66; 28.97°, d = 3.082 Å, rel. 100; 33.45°, d = 2.679 Å, rel. 30; 34.14°, d = 2.626 Å, rel. 63; 44.69°, d = 2.028 Å, rel. 48; 47.04°, d = 1.932 Å, rel. 30

Atomic structure:
Lattice parameters (Å, degrees): 15.6168 4.0548 7.0368 90.00 114.30 90.00
Space group C2/m (No. 12)
Symmetry-distinct sites (fractional):
Li 0.0000 0.0000 0.0000 [2 per cell]
Pr 0.1905 0.0000 0.6552 [4 per cell]
Ta 0.0354 0.5000 0.3077 [4 per cell]
Cl 0.1792 0.0000 0.0630 [4 per cell]
O 0.0000 0.5000 0.0000 [2 per cell]
O 0.0418 0.0000 0.3142 [4 per cell]
O 0.0813 0.5000 0.6493 [4 per cell]
O 0.1765 0.5000 0.4328 [4 per cell]

Entry 7:
Starting from DFT lattice parameters and positions (PBE), the PXRD pattern of Rb12LiCl4O4 was computed for copper Kα.

Most intense lines, 2θ = 5–70°, sorted by position:
24.94°, d = 3.571 Å, rel. 61; 26.16°, d = 3.407 Å, rel. 58; 26.33°, d = 3.385 Å, rel. 68; 27.29°, d = 3.268 Å, rel. 92; 27.38°, d = 3.258 Å, rel. 100; 29.23°, d = 3.056 Å, rel. 75; 31.18°, d = 2.868 Å, rel. 49; 31.63°, d = 2.829 Å, rel. 70; 32.36°, d = 2.767 Å, rel. 60; 34.59°, d = 2.593 Å, rel. 52

Atomic structure:
Lattice parameters (Å, degrees): 7.8352 7.9870 11.3837 90.07 96.26 90.86
Space group P1 (No. 1)
Symmetry-distinct sites (fractional):
Rb 0.0000 0.0000 0.0000 [1 per cell]
Rb 0.0158 0.4887 0.5421 [1 per cell]
Rb 0.0709 0.5166 0.9767 [1 per cell]
Rb 0.2463 0.8615 0.7139 [1 per cell]
Rb 0.4280 0.1064 0.4364 [1 per cell]
Rb 0.4456 0.7490 0.1721 [1 per cell]
Rb 0.4828 0.1150 0.9722 [1 per cell]
Rb 0.5184 0.5620 0.5045 [1 per cell]
Rb 0.5774 0.5712 0.8883 [1 per cell]
Rb 0.7505 0.2003 0.7206 [1 per cell]
Rb 0.7960 0.3393 0.2237 [1 per cell]
Rb 0.9307 0.9958 0.4527 [1 per cell]
Li 0.1467 0.7015 0.3393 [1 per cell]
Cl 0.2226 0.4249 0.2827 [1 per cell]
Cl 0.3195 0.2912 0.7112 [1 per cell]
Cl 0.8168 0.7793 0.7062 [1 per cell]
Cl 0.8805 0.7534 0.2133 [1 per cell]
O 0.2441 0.8028 0.4692 [1 per cell]
O 0.3210 0.7944 0.9536 [1 per cell]
O 0.7480 0.2831 0.4800 [1 per cell]
O 0.7921 0.2871 0.9647 [1 per cell]